Structure and simulated PXRD pattern of HoGa2Ni (the GGA-PBE geometry in Alexandria; Cu Kα (weighted mean of Kα1 and Kα2)).
No peak broadening, texture or thermal motion is included.

Main lines, by intensity (5° ≤ 2θ ≤ 70°):
| d/Å | Position (°2θ) | I_rel |
| --- | --- | --- |
| 2.363 | 38.08 | 100 |
| 2.531 | 35.47 | 88 |
| 2.288 | 39.38 | 40 |
| 2.331 | 38.63 | 37 |
| 2.843 | 31.46 | 33 |
| 2.660 | 33.69 | 33 |
| 2.201 | 41.01 | 28 |
| 1.670 | 55.00 | 27 |

Structure:
```
HoGa2Ni
1.0
7.7705 0.0000 0.0000
0.0000 6.6755 0.0000
0.0000 0.0000 5.3444
Ho Ga Ni
4 8 4
Cartesian
0.3003 1.6689 0.6362
3.5850 5.0066 3.3084
4.1856 1.6689 2.0360
7.4702 5.0066 4.7082
1.4227 0.3620 3.2970
1.4227 2.9757 3.2970
2.4626 3.6998 0.6248
2.4626 6.3135 0.6248
5.3079 0.3620 4.7196
5.3079 2.9757 4.7196
6.3479 3.6998 2.0474
6.3479 6.3135 2.0474
0.7471 5.0066 1.9936
3.1382 1.6689 4.6658
4.6324 5.0066 0.6786
7.0235 1.6689 3.3508
```


Structure and simulated PXRD pattern of Cs (the GGA-PBE geometry in Alexandria; Cu Kα (weighted mean of Kα1 and Kα2)).
No peak broadening, texture or thermal motion is included.

Main lines, by intensity (5° ≤ 2θ ≤ 70°):
| d/Å | Position (°2θ) | I_rel |
| --- | --- | --- |
| 4.357 | 20.38 | 100 |
| 3.977 | 22.35 | 80 |
| 2.604 | 34.44 | 52 |
| 4.871 | 18.21 | 33 |
| 2.702 | 33.15 | 29 |
| 2.126 | 42.52 | 29 |
| 1.809 | 50.44 | 26 |
| 2.436 | 36.90 | 22 |

Structure:
```
Cs
1.0
9.7426 0.0000 0.0000
0.0000 9.7426 0.0000
0.0000 0.0000 9.7426
Cs
8
Cartesian
0.0000 0.0000 0.0000
0.0000 2.4356 4.8713
0.0000 7.3069 4.8713
2.4356 4.8713 0.0000
4.8713 0.0000 2.4356
4.8713 0.0000 7.3069
4.8713 4.8713 4.8713
7.3069 4.8713 0.0000
```


Structure and simulated PXRD pattern of Ac4LaHo2 (the GGA-PBE geometry in Alexandria; Cu Kα (weighted mean of Kα1 and Kα2)).
No peak broadening, texture or thermal motion is included.

Main lines, by intensity (5° ≤ 2θ ≤ 70°):
| d/Å | Position (°2θ) | I_rel |
| --- | --- | --- |
| 3.126 | 28.55 | 100 |
| 3.005 | 29.73 | 47 |
| 2.965 | 30.15 | 26 |
| 2.926 | 30.56 | 21 |
| 2.579 | 34.79 | 19 |
| 1.904 | 47.78 | 16 |
| 1.759 | 51.97 | 13 |
| 2.184 | 41.35 | 11 |

Structure:
```
Ac4LaHo2
1.0
3.3950 -12.8012 0.0000
3.3950 12.8012 0.0000
-3.3715 0.0000 6.4572
Ac La Ho
8 2 4
Cartesian
1.7093 12.2663 3.2286
3.4121 5.8917 1.5966
1.6182 4.9935 4.6740
1.6126 1.3876 3.3714
3.2984 -1.3876 0.1428
3.3039 -4.9935 1.4454
1.7264 -5.8917 4.8252
3.3950 -12.2663 0.0000
3.2932 9.6151 0.7789
1.6075 -9.6151 4.0075
1.9151 8.7604 4.3286
3.5816 2.3799 0.4758
1.8959 -2.3799 3.7045
3.6008 -8.7604 1.1000
```


Structure and simulated PXRD pattern of Cs15K2Na2 (the GGA-PBE geometry in Alexandria; Cu Kα (weighted mean of Kα1 and Kα2)).
No peak broadening, texture or thermal motion is included.

Main lines, by intensity (5° ≤ 2θ ≤ 70°):
| d/Å | Position (°2θ) | I_rel |
| --- | --- | --- |
| 4.009 | 22.17 | 100 |
| 4.519 | 19.64 | 72 |
| 4.696 | 18.90 | 55 |
| 3.341 | 26.69 | 35 |
| 7.518 | 11.77 | 29 |
| 3.538 | 25.17 | 27 |
| 2.240 | 40.25 | 26 |
| 2.506 | 35.84 | 24 |

Structure:
```
Cs15K2Na2
1.0
7.5178 4.3404 10.4638
-7.5178 4.3404 10.4638
0.0000 -8.6809 10.4638
Cs K Na
15 2 2
Cartesian
-7.5178 0.0000 15.6957
-2.2116 -4.8502 10.4638
-3.7589 2.1702 5.2319
-5.3062 0.5098 10.4638
-2.7274 -1.5747 13.8071
2.2116 -4.8502 10.4638
-3.0946 4.3404 10.4638
0.0000 -3.1493 17.5842
-2.7274 1.5747 17.5842
3.7589 2.1702 5.2319
2.7274 -1.5747 13.8071
0.0000 3.1493 13.8071
5.3062 0.5098 10.4638
3.0946 4.3404 10.4638
2.7274 1.5747 17.5842
0.0000 0.0000 9.1274
0.0000 0.0000 22.2639
0.0000 0.0000 1.9924
0.0000 0.0000 29.3989
```


Structure and simulated PXRD pattern of ZrSc2Al3 (the GGA-PBE geometry in Alexandria; Cu Kα (weighted mean of Kα1 and Kα2)).
No peak broadening, texture or thermal motion is included.

Main lines, by intensity (5° ≤ 2θ ≤ 70°):
| d/Å | Position (°2θ) | I_rel |
| --- | --- | --- |
| 2.460 | 36.53 | 100 |
| 2.168 | 41.67 | 34 |
| 4.122 | 21.56 | 17 |
| 6.962 | 12.72 | 16 |
| 2.061 | 43.92 | 15 |
| 3.065 | 29.13 | 14 |
| 1.533 | 60.40 | 11 |
| 1.495 | 62.10 | 10 |

Structure:
```
ZrSc2Al3
1.0
-2.1699 4.1229 6.4957
2.1699 -4.1229 6.4957
2.1699 4.1229 -6.4957
Zr Sc Al
2 4 6
Cartesian
0.0000 2.0614 2.1542
2.1699 2.0614 4.3415
2.1699 -2.0614 4.3436
2.1699 2.0614 0.0048
0.0000 2.0614 6.4909
0.0000 6.1843 2.1521
0.0000 0.0000 0.0000
2.1699 0.0107 2.1740
0.0000 0.0107 4.3217
0.0000 4.1229 0.0000
2.1699 4.1122 2.1740
0.0000 4.1122 4.3217
```


Structure and simulated PXRD pattern of InAsPb2 (the GGA-PBE geometry in Alexandria; Cu Kα (weighted mean of Kα1 and Kα2)).
No peak broadening, texture or thermal motion is included.

Main lines, by intensity (5° ≤ 2θ ≤ 70°):
| d/Å | Position (°2θ) | I_rel |
| --- | --- | --- |
| 2.802 | 31.94 | 100 |
| 2.699 | 33.19 | 51 |
| 2.722 | 32.91 | 50 |
| 2.540 | 35.34 | 42 |
| 4.052 | 21.94 | 33 |
| 2.689 | 33.32 | 26 |
| 2.626 | 34.15 | 24 |
| 1.846 | 49.36 | 17 |

Structure:
```
InAsPb2
1.0
3.3010 0.0000 0.0000
0.0000 5.0794 0.0000
-1.4830 0.0000 6.7175
In As Pb
1 1 2
Cartesian
0.0000 0.0000 0.0000
0.1586 2.5397 5.5844
0.1137 0.0000 3.6666
1.7040 2.5397 1.8433
```


Structure and simulated PXRD pattern of CaAl12Cu4 (the GGA-PBE geometry in Alexandria; Cu Kα (weighted mean of Kα1 and Kα2)).
No peak broadening, texture or thermal motion is included.

Main lines, by intensity (5° ≤ 2θ ≤ 70°):
| d/Å | Position (°2θ) | I_rel |
| --- | --- | --- |
| 1.761 | 51.93 | 100 |
| 3.050 | 29.29 | 99 |
| 4.313 | 20.59 | 98 |
| 2.728 | 32.84 | 91 |
| 1.929 | 47.12 | 88 |
| 2.305 | 39.07 | 44 |
| 2.156 | 41.89 | 27 |
| 1.364 | 68.84 | 27 |

Structure:
```
CaAl12Cu4
1.0
-4.3127 4.3127 4.3127
4.3127 -4.3127 4.3127
4.3127 4.3127 -4.3127
Ca Al Cu
1 12 4
Cartesian
0.0000 0.0000 0.0000
2.9452 0.0000 1.4286
5.6802 0.0000 1.4286
4.3127 2.8841 -1.3675
1.4286 2.9452 0.0000
2.8841 -1.3675 4.3127
4.3127 2.8841 1.3675
0.0000 1.4286 2.9452
1.4286 5.6802 0.0000
2.8841 1.3675 4.3127
0.0000 1.4286 5.6802
-1.3675 4.3127 2.8841
1.3675 4.3127 2.8841
2.1564 2.1564 -2.1564
2.1564 -2.1564 2.1564
-2.1564 2.1564 2.1564
2.1564 2.1564 2.1564
```


Structure and simulated PXRD pattern of NdTh2UN4 (the GGA-PBE geometry in Alexandria; Cu Kα (weighted mean of Kα1 and Kα2)).
No peak broadening, texture or thermal motion is included.

Main lines, by intensity (5° ≤ 2θ ≤ 70°):
| d/Å | Position (°2θ) | I_rel |
| --- | --- | --- |
| 2.941 | 30.40 | 100 |
| 2.552 | 35.17 | 45 |
| 1.799 | 50.75 | 32 |
| 1.538 | 60.17 | 31 |
| 2.536 | 35.39 | 22 |
| 1.470 | 63.25 | 16 |
| 1.804 | 50.59 | 16 |
| 1.531 | 60.46 | 16 |

Structure:
```
NdTh2UN4
1.0
-2.5518 2.5518 5.0725
2.5518 -2.5518 5.0725
2.5518 2.5518 -5.0725
Nd Th U N
1 2 1 4
Cartesian
0.0000 0.0000 0.0000
0.0000 0.0000 5.0725
0.0000 2.5518 2.5362
2.5518 0.0000 2.5362
2.5518 0.0000 0.1888
0.0000 0.0000 2.5695
2.5518 0.0000 4.8837
0.0000 0.0000 7.5754
```


Structure and simulated PXRD pattern of TbNd5Dy8 (the GGA-PBE geometry in Alexandria; Cu Kα (weighted mean of Kα1 and Kα2)).
No peak broadening, texture or thermal motion is included.

Main lines, by intensity (5° ≤ 2θ ≤ 70°):
| d/Å | Position (°2θ) | I_rel |
| --- | --- | --- |
| 2.875 | 31.11 | 100 |
| 2.860 | 31.27 | 48 |
| 2.763 | 32.40 | 45 |
| 2.729 | 32.82 | 44 |
| 2.995 | 29.84 | 38 |
| 1.511 | 61.37 | 29 |
| 1.906 | 47.72 | 19 |
| 2.179 | 41.43 | 14 |

Structure:
```
TbNd5Dy8
1.0
8.7045 -1.7777 0.0000
8.7045 1.7777 0.0000
-7.9898 0.0000 14.8928
Tb Nd Dy
1 5 8
Cartesian
0.0000 0.0000 0.0000
-0.9978 0.0000 6.5576
2.5679 0.0000 2.1367
4.7096 0.0000 7.4464
6.8513 0.0000 12.7561
10.4171 0.0000 8.3352
-4.3628 0.0000 10.7814
2.1091 0.0000 5.2664
5.6799 0.0000 0.8849
1.1259 0.0000 11.5977
8.2933 0.0000 3.2951
3.7393 0.0000 14.0079
7.3101 0.0000 9.6264
13.7820 0.0000 4.1114
```


Structure and simulated PXRD pattern of NdCd2P2Pt7 (the GGA-PBE geometry in Alexandria; Cu Kα (weighted mean of Kα1 and Kα2)).
No peak broadening, texture or thermal motion is included.

Main lines, by intensity (5° ≤ 2θ ≤ 70°):
| d/Å | Position (°2θ) | I_rel |
| --- | --- | --- |
| 2.790 | 32.08 | 100 |
| 2.500 | 35.92 | 90 |
| 2.427 | 37.04 | 85 |
| 2.572 | 34.89 | 78 |
| 13.956 | 6.33 | 72 |
| 2.634 | 34.03 | 66 |
| 2.010 | 45.10 | 54 |
| 2.003 | 45.27 | 50 |

Structure:
```
NdCd2P2Pt7
1.0
2.8472 -2.8450 0.0000
2.8472 2.8450 0.0000
-1.9115 0.0000 13.9558
Nd Cd P Pt
1 2 2 7
Cartesian
0.0000 0.0000 0.0000
-0.2312 0.0000 5.6448
4.0140 0.0000 8.3109
0.9525 0.0000 10.3875
2.8303 0.0000 3.5683
1.4153 1.4250 2.2934
1.1828 0.0000 8.1455
2.3676 1.4250 11.6624
2.8472 0.0000 0.0000
1.4153 -1.4250 2.2934
2.6000 0.0000 5.8103
2.3676 -1.4250 11.6624
```


Structure and simulated PXRD pattern of BIrAu (the GGA-PBE geometry in Alexandria; Cu Kα (weighted mean of Kα1 and Kα2)).
No peak broadening, texture or thermal motion is included.

Main lines, by intensity (5° ≤ 2θ ≤ 70°):
| d/Å | Position (°2θ) | I_rel |
| --- | --- | --- |
| 2.556 | 35.11 | 100 |
| 1.993 | 45.52 | 66 |
| 2.599 | 34.51 | 45 |
| 2.158 | 41.87 | 38 |
| 1.496 | 62.05 | 29 |
| 2.459 | 36.55 | 22 |
| 1.689 | 54.31 | 19 |
| 5.198 | 17.06 | 3 |

Structure:
```
BIrAu
1.0
1.4958 0.8636 5.1982
-1.4958 0.8636 5.1982
0.0000 -1.7271 5.1982
B Ir Au
1 1 1
Cartesian
0.0000 0.0000 0.0000
0.0000 0.0000 6.4164
0.0000 0.0000 3.5962
```


Structure and simulated PXRD pattern of SrLi10Pd3 (the GGA-PBE geometry in Alexandria; Cu Kα (weighted mean of Kα1 and Kα2)).
No peak broadening, texture or thermal motion is included.

Main lines, by intensity (5° ≤ 2θ ≤ 70°):
| d/Å | Position (°2θ) | I_rel |
| --- | --- | --- |
| 3.805 | 23.38 | 100 |
| 1.987 | 45.65 | 49 |
| 3.295 | 27.06 | 49 |
| 2.330 | 38.64 | 41 |
| 1.512 | 61.31 | 17 |
| 1.474 | 63.08 | 15 |
| 1.903 | 47.81 | 13 |
| 1.345 | 69.92 | 12 |

Structure:
```
SrLi10Pd3
1.0
0.0000 6.5909 6.5909
6.5909 0.0000 6.5909
6.5909 6.5909 0.0000
Sr Li Pd
2 20 6
Cartesian
3.2954 3.2954 3.2954
9.8863 9.8863 9.8863
2.1723 2.1723 0.0000
4.4186 4.4186 0.0000
2.1723 0.0000 2.1723
6.5909 4.4186 2.1723
4.4186 0.0000 4.4186
6.5909 2.1723 4.4186
7.9645 5.2173 5.2173
0.0000 2.1723 2.1723
4.4186 6.5909 2.1723
4.4186 2.1723 6.5909
5.2173 5.2173 5.2173
7.9645 7.9645 5.2173
7.9645 5.2173 7.9645
5.2173 7.9645 5.2173
5.2173 5.2173 7.9645
7.9645 7.9645 7.9645
0.0000 4.4186 4.4186
2.1723 6.5909 4.4186
2.1723 4.4186 6.5909
5.2173 7.9645 7.9645
6.5909 6.5909 3.4978
6.5909 3.4978 6.5909
9.6840 6.5909 6.5909
3.4978 6.5909 6.5909
6.5909 9.6840 6.5909
6.5909 6.5909 9.6840
```


Please write out number 4 again, unchanged.
Structure and simulated PXRD pattern of Cs15K2Na2 (the GGA-PBE geometry in Alexandria; Cu Kα (weighted mean of Kα1 and Kα2)).
No peak broadening, texture or thermal motion is included.

Main lines, by intensity (5° ≤ 2θ ≤ 70°):
| d/Å | Position (°2θ) | I_rel |
| --- | --- | --- |
| 4.009 | 22.17 | 100 |
| 4.519 | 19.64 | 72 |
| 4.696 | 18.90 | 55 |
| 3.341 | 26.69 | 35 |
| 7.518 | 11.77 | 29 |
| 3.538 | 25.17 | 27 |
| 2.240 | 40.25 | 26 |
| 2.506 | 35.84 | 24 |

Structure:
```
Cs15K2Na2
1.0
7.5178 4.3404 10.4638
-7.5178 4.3404 10.4638
0.0000 -8.6809 10.4638
Cs K Na
15 2 2
Cartesian
-7.5178 0.0000 15.6957
-2.2116 -4.8502 10.4638
-3.7589 2.1702 5.2319
-5.3062 0.5098 10.4638
-2.7274 -1.5747 13.8071
2.2116 -4.8502 10.4638
-3.0946 4.3404 10.4638
0.0000 -3.1493 17.5842
-2.7274 1.5747 17.5842
3.7589 2.1702 5.2319
2.7274 -1.5747 13.8071
0.0000 3.1493 13.8071
5.3062 0.5098 10.4638
3.0946 4.3404 10.4638
2.7274 1.5747 17.5842
0.0000 0.0000 9.1274
0.0000 0.0000 22.2639
0.0000 0.0000 1.9924
0.0000 0.0000 29.3989
```